Starting from the PBE geometry in Alexandria, the X-ray diffraction stick pattern of RbUMn2Cl8 was simulated for Cu Kα X-rays.
No peak broadening, texture or thermal motion is included.

Most intense lines, 15° ≤ 2θ ≤ 90°, in order of falling intensity:
| two_theta | intensity |
| --- | --- |
| 19.4 | 100 |
| 27.3 | 51 |
| 32.4 | 41 |
| 44.7 | 39 |
| 27.9 | 33 |
| 15.9 | 30 |
| 33.7 | 27 |
| 48.3 | 27 |
| 43.9 | 25 |
| 16.7 | 21 |

Structure:
abc: 11.023 11.023 11.023
angles: 34.47 34.47 34.47
Sites, in units of the cell vectors:
Rb  0.000  0.000  0.000
U  0.500  0.500  0.500
Mn  0.250  0.250  0.250
Mn  0.750  0.750  0.750
Cl  0.121  0.436  0.773
Cl  0.227  0.564  0.879
Cl  0.323  0.323  0.323
Cl  0.436  0.773  0.121
Cl  0.564  0.879  0.227
Cl  0.677  0.677  0.677
Cl  0.773  0.121  0.436
Cl  0.879  0.227  0.564